(1)
This entry pairs a crystal structure of La2SmCo2B2N3 with its theoretical PXRD pattern. Radiation: Cu Kα X-rays. Structure: a GGA-PBE-relaxed structure.
Peak positions follow from Bragg's law for the DFT cell and can differ from measured ones.

```
data_La2SmCo2B2N3
_chemical_formula_sum 'La4 Sm2 Co4 B4 N6'
_symmetry_space_group_name_H-M 'I 4/m m m'
_symmetry_Int_Tables_number 139
_symmetry_space_group_name_Hall '-I 4 2'
_cell_length_a 3.6867
_cell_length_b 3.6867
_cell_length_c 19.8379
_cell_angle_alpha 90.00
_cell_angle_beta 90.00
_cell_angle_gamma 90.00
loop_
_atom_site_label
_atom_site_fract_x
_atom_site_fract_y
_atom_site_fract_z
_atom_site_occupancy
La1 0.0000 0.0000 0.1295 1
Sm1 0.0000 0.0000 0.5000 1
Co1 0.0000 0.5000 0.2500 1
B1 0.0000 0.0000 0.3016 1
N1 0.0000 0.0000 0.0000 1
N2 0.0000 0.0000 0.3767 1
```

Largest 10 diffraction maxima, sorted by position, 2θ from 5° to 70°:
| two_theta | Rel. int. |
| --- | --- |
| 27.70 | 100 |
| 33.17 | 57 |
| 34.40 | 37 |
| 35.61 | 37 |
| 36.23 | 41 |
| 39.03 | 27 |
| 44.24 | 33 |
| 49.44 | 37 |
| 57.62 | 28 |
| 62.81 | 32 |

=====

(2)
This entry pairs a crystal structure of LiNbCoB with its theoretical PXRD pattern. Radiation: Cu Kα X-rays. Structure: a GGA-PBE-relaxed structure.
Peak positions follow from Bragg's law for the DFT cell and can differ from measured ones.

```
data_LiNbCoB
_chemical_formula_sum 'Li4 Nb4 Co4 B4'
_symmetry_space_group_name_H-M 'F -4 3 m'
_symmetry_Int_Tables_number 216
_symmetry_space_group_name_Hall 'F -4 2 3'
_cell_length_a 5.5652
_cell_length_b 5.5652
_cell_length_c 5.5652
_cell_angle_alpha 90.00
_cell_angle_beta 90.00
_cell_angle_gamma 90.00
loop_
_atom_site_label
_atom_site_fract_x
_atom_site_fract_y
_atom_site_fract_z
_atom_site_occupancy
Li1 0.0000 0.0000 0.0000 1
Nb1 0.2500 0.2500 0.2500 1
Co1 0.0000 0.0000 0.5000 1
B1 0.2500 0.2500 0.7500 1
```

Largest 6 diffraction maxima, sorted by position, 2θ from 5° to 70°:
| two_theta | Rel. int. |
| --- | --- |
| 27.77 | 100 |
| 32.17 | 6 |
| 46.13 | 96 |
| 54.70 | 44 |
| 57.35 | 2 |
| 67.30 | 15 |

=====

(3)
This entry pairs a crystal structure of Lu4CoB13 with its theoretical PXRD pattern. Radiation: Cu Kα X-rays. Structure: a GGA-PBE-relaxed structure.
Peak positions follow from Bragg's law for the DFT cell and can differ from measured ones.

```
data_Lu4CoB13
_chemical_formula_sum 'Lu8 Co2 B26'
_symmetry_space_group_name_H-M 'P 4/m n c'
_symmetry_Int_Tables_number 128
_symmetry_space_group_name_Hall '-P 4 2n'
_cell_length_a 7.2047
_cell_length_b 7.2047
_cell_length_c 6.7461
_cell_angle_alpha 90.00
_cell_angle_beta 90.00
_cell_angle_gamma 90.00
loop_
_atom_site_label
_atom_site_fract_x
_atom_site_fract_y
_atom_site_fract_z
_atom_site_occupancy
Lu1 0.1812 0.3158 0.0000 1
Co1 0.0000 0.0000 0.5000 1
B1 0.0000 0.0000 0.0000 1
B2 0.0391 0.8290 0.2449 1
B3 0.0895 0.5895 0.2500 1
```

Largest 10 diffraction maxima, sorted by position, 2θ from 5° to 70°:
| two_theta | Rel. int. |
| --- | --- |
| 24.71 | 42 |
| 26.42 | 59 |
| 27.69 | 99 |
| 36.49 | 41 |
| 38.64 | 100 |
| 44.57 | 21 |
| 48.20 | 27 |
| 52.36 | 38 |
| 59.59 | 41 |
| 62.12 | 21 |

=====

(4)
This entry pairs a crystal structure of PrY2Co2B2N3 with its theoretical PXRD pattern. Radiation: Cu Kα X-rays. Structure: a GGA-PBE-relaxed structure.
Peak positions follow from Bragg's law for the DFT cell and can differ from measured ones.

```
data_PrY2Co2B2N3
_chemical_formula_sum 'Pr2 Y4 Co4 B4 N6'
_symmetry_space_group_name_H-M 'I 4/m m m'
_symmetry_Int_Tables_number 139
_symmetry_space_group_name_Hall '-I 4 2'
_cell_length_a 3.5277
_cell_length_b 3.5277
_cell_length_c 20.1540
_cell_angle_alpha 90.00
_cell_angle_beta 90.00
_cell_angle_gamma 90.00
loop_
_atom_site_label
_atom_site_fract_x
_atom_site_fract_y
_atom_site_fract_z
_atom_site_occupancy
Pr1 0.0000 0.0000 0.0000 1
Y1 0.0000 0.0000 0.3729 1
Co1 0.0000 0.5000 0.2500 1
B1 0.0000 0.0000 0.1965 1
N1 0.0000 0.0000 0.1223 1
N2 0.0000 0.0000 0.5000 1
```

Largest 10 diffraction maxima, sorted by position, 2θ from 5° to 70°:
| two_theta | Rel. int. |
| --- | --- |
| 28.58 | 100 |
| 33.76 | 74 |
| 35.64 | 60 |
| 36.00 | 34 |
| 37.13 | 67 |
| 45.28 | 48 |
| 51.83 | 44 |
| 60.26 | 26 |
| 63.30 | 24 |
| 64.49 | 39 |

=====

(5)
This entry pairs a crystal structure of Tb2SmCo2B2N3 with its theoretical PXRD pattern. Radiation: Cu Kα X-rays. Structure: a GGA-PBE-relaxed structure.
Peak positions follow from Bragg's law for the DFT cell and can differ from measured ones.

```
data_Tb2SmCo2B2N3
_chemical_formula_sum 'Tb4 Sm2 Co4 B4 N6'
_symmetry_space_group_name_H-M 'I 4/m m m'
_symmetry_Int_Tables_number 139
_symmetry_space_group_name_Hall '-I 4 2'
_cell_length_a 3.5151
_cell_length_b 3.5151
_cell_length_c 20.0174
_cell_angle_alpha 90.00
_cell_angle_beta 90.00
_cell_angle_gamma 90.00
loop_
_atom_site_label
_atom_site_fract_x
_atom_site_fract_y
_atom_site_fract_z
_atom_site_occupancy
Tb1 0.0000 0.0000 0.1259 1
Sm1 0.0000 0.0000 0.5000 1
Co1 0.0000 0.5000 0.2500 1
B1 0.0000 0.0000 0.3047 1
N1 0.0000 0.0000 0.0000 1
N2 0.0000 0.0000 0.3796 1
```

Largest 10 diffraction maxima, sorted by position, 2θ from 5° to 70°:
| two_theta | Rel. int. |
| --- | --- |
| 28.71 | 100 |
| 33.94 | 72 |
| 35.89 | 49 |
| 36.14 | 40 |
| 37.28 | 35 |
| 40.52 | 33 |
| 52.03 | 36 |
| 60.51 | 27 |
| 63.59 | 24 |
| 64.83 | 33 |

=====

(6)
This entry pairs a crystal structure of TbSmCo2B2N2 with its theoretical PXRD pattern. Radiation: Cu Kα X-rays. Structure: a GGA-PBE-relaxed structure.
Peak positions follow from Bragg's law for the DFT cell and can differ from measured ones.

```
data_TbSmCo2B2N2
_chemical_formula_sum 'Tb1 Sm1 Co2 B2 N2'
_symmetry_space_group_name_H-M 'P 4 m m'
_symmetry_Int_Tables_number 99
_symmetry_space_group_name_Hall 'P 4 -2'
_cell_length_a 3.5338
_cell_length_b 3.5338
_cell_length_c 7.4565
_cell_angle_alpha 90.00
_cell_angle_beta 90.00
_cell_angle_gamma 90.00
loop_
_atom_site_label
_atom_site_fract_x
_atom_site_fract_y
_atom_site_fract_z
_atom_site_occupancy
Tb1 0.0000 0.0000 0.0000 1
Sm1 0.5000 0.5000 0.3411 1
Co1 0.0000 0.5000 0.6704 1
B1 0.0000 0.0000 0.5233 1
B2 0.5000 0.5000 0.8159 1
N1 0.0000 0.0000 0.3198 1
N2 0.5000 0.5000 0.0175 1
```

Largest 10 diffraction maxima, sorted by position, 2θ from 5° to 70°:
| two_theta | Rel. int. |
| --- | --- |
| 27.94 | 100 |
| 34.99 | 64 |
| 35.94 | 24 |
| 36.14 | 46 |
| 37.98 | 64 |
| 43.60 | 51 |
| 51.74 | 37 |
| 59.82 | 26 |
| 63.99 | 23 |
| 64.73 | 32 |

=====

(7)
This entry pairs a crystal structure of TbTm2Co2B2N3 with its theoretical PXRD pattern. Radiation: Cu Kα X-rays. Structure: a GGA-PBE-relaxed structure.
Peak positions follow from Bragg's law for the DFT cell and can differ from measured ones.

```
data_TbTm2Co2B2N3
_chemical_formula_sum 'Tb2 Tm4 Co4 B4 N6'
_symmetry_space_group_name_H-M 'I 4/m m m'
_symmetry_Int_Tables_number 139
_symmetry_space_group_name_Hall '-I 4 2'
_cell_length_a 3.4399
_cell_length_b 3.4399
_cell_length_c 19.8479
_cell_angle_alpha 90.00
_cell_angle_beta 90.00
_cell_angle_gamma 90.00
loop_
_atom_site_label
_atom_site_fract_x
_atom_site_fract_y
_atom_site_fract_z
_atom_site_occupancy
Tb1 0.0000 0.0000 0.0000 1
Tm1 0.0000 0.0000 0.3761 1
Co1 0.0000 0.5000 0.2500 1
B1 0.0000 0.0000 0.1935 1
N1 0.0000 0.0000 0.1178 1
N2 0.0000 0.0000 0.5000 1
```

Largest 10 diffraction maxima, sorted by position, 2θ from 5° to 70°:
| two_theta | Rel. int. |
| --- | --- |
| 29.26 | 100 |
| 34.50 | 81 |
| 36.21 | 50 |
| 36.96 | 41 |
| 38.09 | 36 |
| 41.33 | 35 |
| 53.26 | 35 |
| 61.93 | 26 |
| 65.02 | 27 |
| 66.10 | 33 |

=====

(8)
This entry pairs a crystal structure of Nd2Co5B2 with its theoretical PXRD pattern. Radiation: Cu Kα X-rays. Structure: a GGA-PBE-relaxed structure.
Peak positions follow from Bragg's law for the DFT cell and can differ from measured ones.

```
data_Nd2Co5B2
_chemical_formula_sum 'Nd8 Co20 B8'
_symmetry_space_group_name_H-M 'P 63/m m c'
_symmetry_Int_Tables_number 194
_symmetry_space_group_name_Hall '-P 6c 2c'
_cell_length_a 5.1678
_cell_length_b 5.1678
_cell_length_c 20.1485
_cell_angle_alpha 90.00
_cell_angle_beta 90.00
_cell_angle_gamma 120.00
loop_
_atom_site_label
_atom_site_fract_x
_atom_site_fract_y
_atom_site_fract_z
_atom_site_occupancy
Nd1 0.3333 0.6667 0.0217 1
Nd2 0.3333 0.6667 0.1748 1
Co1 0.0000 0.0000 0.0000 1
Co2 0.1613 0.3227 0.6079 1
Co3 0.1677 0.3354 0.7500 1
B1 0.0000 0.0000 0.1783 1
B2 0.3333 0.6667 0.6748 1
```

Largest 10 diffraction maxima, sorted by position, 2θ from 5° to 70°:
| two_theta | Rel. int. |
| --- | --- |
| 20.33 | 20 |
| 33.36 | 23 |
| 34.72 | 41 |
| 37.14 | 100 |
| 39.18 | 17 |
| 40.30 | 28 |
| 40.56 | 82 |
| 44.23 | 85 |
| 63.82 | 43 |
| 68.87 | 22 |